This entry pairs a crystal structure of TaMnPbO6 with its theoretical powder XRD pattern. Radiation: Cu Ka. Structure: a crystal structure in Alexandria, relaxed with GGA+U.
Lines closer than 0.1° are merged.

Structure:
```
data_TaMnPbO6
_chemical_formula_sum 'Ta2 Mn2 Pb2 O12'
_symmetry_space_group_name_H-M 'P 1'
_symmetry_Int_Tables_number 1
_cell_length_a 4.787
_cell_length_b 4.787
_cell_length_c 9.770
_cell_angle_alpha 90.00
_cell_angle_beta 90.00
_cell_angle_gamma 90.00
loop_
_symmetry_equiv_pos_as_xyz
'x,y,z'
loop_
_atom_site_label
_atom_site_fract_x
_atom_site_fract_y
_atom_site_fract_z
Ta1 0.000 0.000 0.000
Ta2 0.500 0.500 0.500
Mn1 0.000 0.000 0.663
Mn2 0.500 0.500 0.163
Pb1 0.000 0.000 0.335
Pb2 0.500 0.500 0.835
O1 0.183 0.183 0.840
O2 0.207 0.207 0.152
O3 0.207 0.207 0.508
O4 0.293 0.707 0.008
O5 0.293 0.707 0.652
O6 0.317 0.683 0.340
O7 0.683 0.317 0.340
O8 0.707 0.293 0.008
O9 0.707 0.293 0.652
O10 0.793 0.793 0.152
O11 0.793 0.793 0.508
O12 0.817 0.817 0.840
```

Most intense lines, 15 to 90 degrees two-theta, most intense first:
| two_theta | I_rel |
| --- | --- |
| 26.33 | 100 |
| 33.27 | 90 |
| 51.05 | 69 |
| 20.66 | 29 |
| 37.57 | 26 |
| 65.09 | 20 |